Starting from a PBE+U-relaxed structure, the XRD peak list of Zn2Cr3O8 was simulated for λ = 1.5418 Å (Cu Kα).
No peak broadening, texture or thermal motion is included.

Principal peaks in the range 5° ≤ 2θ ≤ 70°, sorted by position:
- hkl 0 0 2, 2θ 18.61, I = 25
- hkl 1 0 2, 2θ 25.61, I = 75
- hkl 1 0 3, 2θ 33.23, I = 78
- hkl 2 0 0, 2θ 35.28, I = 27
- hkl 1 1 2, 2θ 35.91, I = 100
- hkl 2 0 1, 2θ 36.56, I = 61
- hkl 1 0 5, 2θ 51.19, I = 26
- hkl 2 1 3, 2θ 55.88, I = 45
- hkl 2 0 5, 2θ 60.69, I = 61
- hkl 2 2 0, 2θ 63.32, I = 49

Structural model:
Cell lengths 5.875, 5.875, 9.536 Å; angles 90.00, 90.00, 120.00 degrees
Fractional positions:
1 Zn 0.333 0.667 0.000
2 Zn 0.333 0.667 0.399
3 Zn 0.667 0.333 0.500
4 Zn 0.667 0.333 0.899
5 Cr 0.163 0.327 0.716
6 Cr 0.163 0.837 0.716
7 Cr 0.327 0.163 0.216
8 Cr 0.673 0.837 0.716
9 Cr 0.837 0.163 0.216
10 Cr 0.837 0.673 0.216
11 O 0.000 0.000 0.324
12 O 0.000 0.000 0.824
13 O 0.037 0.518 0.835
14 O 0.162 0.325 0.121
15 O 0.162 0.838 0.121
16 O 0.325 0.162 0.621
17 O 0.333 0.667 0.606
18 O 0.482 0.518 0.835
19 O 0.482 0.963 0.835
20 O 0.518 0.037 0.335
21 O 0.518 0.482 0.335
22 O 0.667 0.333 0.106
23 O 0.675 0.838 0.121
24 O 0.838 0.162 0.621
25 O 0.838 0.675 0.621
26 O 0.963 0.482 0.335